Structure and simulated X-ray diffraction stick pattern of MgTl7Hg4 (a crystal structure in Alexandria, relaxed with PBE; Cu Kα (λ = 1.5418 Å)).

Top 12 peaks for 15 to 90 degrees two-theta, sorted by position:
2θ/deg  I (rel.)
17.5  18.1
22.3  15.1
27.8  29.4
31.7  65.1
31.8  34.7
33.6  100.0
36.5  60.6
37.8  36.0
42.6  19.0
45.5  26.3
57.7  22.0
64.9  24.9

Lattice parameters (Å, degrees): 7.536 7.536 11.444 121.47 121.47 44.04
Fractional positions:
Mg  0.000  0.000  0.000
Tl  0.080  0.080  0.339
Tl  0.210  0.210  0.894
Tl  0.354  0.354  0.426
Tl  0.500  0.500  0.000
Tl  0.646  0.646  0.574
Tl  0.790  0.790  0.106
Tl  0.920  0.920  0.661
Hg  0.280  0.280  0.675
Hg  0.434  0.434  0.224
Hg  0.566  0.566  0.776
Hg  0.720  0.720  0.325